No. 1
Starting from a cell relaxed with GGA-PBE, the PXRD pattern of LiBi12O20 was calculated for CuKα.

The 10 most intense peaks (2θ = 10–90°), in order of rising 2θ:
2θ 24.78, 3.593 Å, rel. 30
2θ 27.76, 3.214 Å, rel. 100
2θ 30.47, 2.934 Å, rel. 21
2θ 32.98, 2.716 Å, rel. 67
2θ 39.66, 2.273 Å, rel. 16
2θ 52.50, 1.743 Å, rel. 53
2θ 54.15, 1.694 Å, rel. 18
2θ 55.76, 1.649 Å, rel. 29
2θ 61.93, 1.498 Å, rel. 20
2θ 78.79, 1.215 Å, rel. 19

Crystal structure
Cell lengths 8.801, 8.801, 8.801 Å; angles 109.47, 109.47, 109.47 degrees
Element x y z (fractional)
Li 0.000 0.000 0.000
Bi 0.139 0.309 0.822
Bi 0.170 0.861 0.683
Bi 0.178 0.487 0.317
Bi 0.309 0.822 0.139
Bi 0.317 0.178 0.487
Bi 0.487 0.317 0.178
Bi 0.513 0.691 0.830
Bi 0.683 0.170 0.861
Bi 0.691 0.830 0.513
Bi 0.822 0.139 0.309
Bi 0.830 0.513 0.691
Bi 0.861 0.683 0.170
O 0.000 0.000 0.239
O 0.000 0.000 0.622
O 0.000 0.239 0.000
O 0.000 0.622 0.000
O 0.119 0.758 0.380
O 0.239 0.000 0.000
O 0.242 0.361 0.622
O 0.261 0.639 0.881
O 0.361 0.622 0.242
O 0.378 0.378 0.378
O 0.378 0.739 0.620
O 0.380 0.119 0.758
O 0.620 0.378 0.739
O 0.622 0.000 0.000
O 0.622 0.242 0.361
O 0.639 0.881 0.261
O 0.739 0.620 0.378
O 0.758 0.380 0.119
O 0.761 0.761 0.761
O 0.881 0.261 0.639

=====

No. 2
Starting from a cell relaxed with GGA-PBE, the PXRD pattern of LiBiP2O7 was calculated for CuKα.

The 10 most intense peaks (2θ = 10–90°), in order of rising 2θ:
2θ 11.92, 7.427 Å, rel. 83
2θ 16.40, 5.405 Å, rel. 89
2θ 17.91, 4.952 Å, rel. 100
2θ 18.66, 4.756 Å, rel. 63
2θ 21.10, 4.210 Å, rel. 73
2θ 26.47, 3.367 Å, rel. 71
2θ 26.83, 3.323 Å, rel. 40
2θ 27.20, 3.278 Å, rel. 38
2θ 31.01, 2.884 Å, rel. 48
2θ 37.84, 2.378 Å, rel. 43

Crystal structure
Cell lengths 5.199, 8.851, 14.334 Å; angles 90.00, 107.75, 90.00 degrees
Element x y z (fractional)
Li 0.093 0.244 0.310
Li 0.093 0.256 0.810
Li 0.907 0.744 0.190
Li 0.907 0.756 0.690
Bi 0.391 0.147 0.614
Bi 0.391 0.353 0.114
Bi 0.609 0.647 0.886
Bi 0.609 0.853 0.386
P 0.261 0.718 0.040
P 0.261 0.782 0.540
P 0.407 0.540 0.681
P 0.407 0.960 0.181
P 0.593 0.040 0.819
P 0.593 0.460 0.319
P 0.739 0.218 0.460
P 0.739 0.282 0.960
O 0.010 0.181 0.444
O 0.010 0.319 0.944
O 0.242 0.716 0.931
O 0.242 0.784 0.431
O 0.259 0.635 0.740
O 0.259 0.865 0.240
O 0.289 0.062 0.768
O 0.289 0.438 0.268
O 0.304 0.122 0.167
O 0.304 0.378 0.667
O 0.333 0.606 0.571
O 0.333 0.894 0.071
O 0.499 0.622 0.102
O 0.499 0.878 0.602
O 0.501 0.122 0.398
O 0.501 0.378 0.898
O 0.667 0.106 0.929
O 0.667 0.394 0.429
O 0.696 0.622 0.333
O 0.696 0.878 0.833
O 0.711 0.562 0.732
O 0.711 0.938 0.232
O 0.741 0.135 0.760
O 0.741 0.365 0.260
O 0.758 0.216 0.569
O 0.758 0.284 0.069
O 0.990 0.681 0.056
O 0.990 0.819 0.556

=====

No. 3
Starting from a cell relaxed with GGA-PBE, the PXRD pattern of LiBi2PO6 was calculated for CuKα.

The 10 most intense peaks (2θ = 10–90°), in order of rising 2θ:
2θ 17.55, 5.052 Å, rel. 55
2θ 23.78, 3.741 Å, rel. 51
2θ 29.72, 3.006 Å, rel. 100
2θ 31.55, 2.835 Å, rel. 17
2θ 36.33, 2.473 Å, rel. 22
2θ 40.40, 2.233 Å, rel. 16
2θ 43.22, 2.093 Å, rel. 30
2θ 48.25, 1.886 Å, rel. 15
2θ 55.05, 1.668 Å, rel. 17
2θ 60.27, 1.536 Å, rel. 14

Crystal structure
Cell lengths 9.956, 5.671, 14.177 Å; angles 90.00, 134.55, 90.00 degrees
Element x y z (fractional)
Li 0.111 0.244 0.001
Li 0.111 0.256 0.501
Li 0.889 0.744 0.499
Li 0.889 0.756 0.999
Bi 0.143 0.234 0.750
Bi 0.143 0.266 0.250
Bi 0.359 0.734 0.749
Bi 0.359 0.766 0.249
Bi 0.641 0.234 0.751
Bi 0.641 0.266 0.251
Bi 0.857 0.734 0.750
Bi 0.857 0.766 0.250
P 0.341 0.748 0.999
P 0.341 0.752 0.499
P 0.659 0.248 0.501
P 0.659 0.252 0.001
O 0.104 0.550 0.648
O 0.104 0.950 0.148
O 0.188 0.551 0.934
O 0.188 0.949 0.434
O 0.196 0.052 0.648
O 0.196 0.448 0.148
O 0.314 0.559 0.562
O 0.314 0.941 0.062
O 0.322 0.636 0.390
O 0.322 0.864 0.890
O 0.459 0.135 0.391
O 0.459 0.365 0.891
O 0.541 0.635 0.109
O 0.541 0.865 0.609
O 0.678 0.136 0.110
O 0.678 0.364 0.610
O 0.686 0.059 0.938
O 0.686 0.441 0.438
O 0.804 0.552 0.852
O 0.804 0.948 0.352
O 0.812 0.051 0.566
O 0.812 0.449 0.066
O 0.896 0.050 0.852
O 0.896 0.450 0.352

=====

No. 4
Starting from a cell relaxed with GGA-PBE, the PXRD pattern of LiBiP2O7 was calculated for CuKα.

The 10 most intense peaks (2θ = 10–90°), in order of rising 2θ:
2θ 16.33, 5.427 Å, rel. 92
2θ 19.45, 4.564 Å, rel. 22
2θ 22.97, 3.872 Å, rel. 42
2θ 27.39, 3.256 Å, rel. 100
2θ 29.19, 3.060 Å, rel. 32
2θ 32.27, 2.774 Å, rel. 22
2θ 33.01, 2.714 Å, rel. 25
2θ 39.29, 2.293 Å, rel. 16
2θ 39.51, 2.281 Å, rel. 17
2θ 41.34, 2.184 Å, rel. 24

Crystal structure
Cell lengths 5.725, 5.725, 4.750 Å; angles 97.45, 97.45, 105.73 degrees
Element x y z (fractional)
Li 0.000 0.000 0.000
Bi 0.626 0.374 0.000
P 0.096 0.492 0.587
P 0.508 0.904 0.413
O 0.236 0.353 0.763
O 0.281 0.719 0.500
O 0.388 0.064 0.240
O 0.647 0.764 0.237
O 0.675 0.043 0.701
O 0.936 0.612 0.760
O 0.957 0.325 0.299

=====

No. 5
Starting from a cell relaxed with GGA-PBE, the PXRD pattern of Li2Bi2P2O9 was calculated for CuKα.

The 10 most intense peaks (2θ = 10–90°), in order of rising 2θ:
2θ 15.58, 5.687 Å, rel. 100
2θ 18.28, 4.853 Å, rel. 39
2θ 19.06, 4.655 Å, rel. 76
2θ 21.93, 4.052 Å, rel. 31
2θ 24.52, 3.631 Å, rel. 61
2θ 24.71, 3.602 Å, rel. 72
2θ 28.52, 3.130 Å, rel. 92
2θ 29.83, 2.995 Å, rel. 34
2θ 32.92, 2.721 Å, rel. 35
2θ 39.30, 2.292 Å, rel. 43

Crystal structure
Cell lengths 5.695, 9.311, 7.896 Å; angles 90.00, 93.03, 90.00 degrees
Element x y z (fractional)
Li 0.028 0.000 0.105
Li 0.103 0.960 0.681
Li 0.897 0.460 0.319
Li 0.972 0.500 0.895
Bi 0.391 0.661 0.076
Bi 0.472 0.590 0.621
Bi 0.528 0.090 0.379
Bi 0.609 0.161 0.924
P 0.023 0.750 0.358
P 0.317 0.329 0.159
P 0.683 0.829 0.841
P 0.977 0.250 0.642
O 0.016 0.879 0.474
O 0.095 0.802 0.176
O 0.115 0.440 0.139
O 0.205 0.160 0.657
O 0.235 0.645 0.410
O 0.240 0.611 0.824
O 0.255 0.171 0.110
O 0.432 0.323 0.345
O 0.487 0.881 0.961
O 0.513 0.381 0.039
O 0.568 0.823 0.655
O 0.745 0.671 0.890
O 0.760 0.111 0.176
O 0.765 0.145 0.590
O 0.795 0.660 0.343
O 0.885 0.940 0.861
O 0.905 0.302 0.824
O 0.984 0.379 0.526

=====

Q: Number 4 is which compound?
A: LiBiP2O7

=====

What did the second record say?
Starting from a cell relaxed with GGA-PBE, the PXRD pattern of LiBiP2O7 was calculated for CuKα.

The 10 most intense peaks (2θ = 10–90°), in order of rising 2θ:
2θ 11.92, 7.427 Å, rel. 83
2θ 16.40, 5.405 Å, rel. 89
2θ 17.91, 4.952 Å, rel. 100
2θ 18.66, 4.756 Å, rel. 63
2θ 21.10, 4.210 Å, rel. 73
2θ 26.47, 3.367 Å, rel. 71
2θ 26.83, 3.323 Å, rel. 40
2θ 27.20, 3.278 Å, rel. 38
2θ 31.01, 2.884 Å, rel. 48
2θ 37.84, 2.378 Å, rel. 43

Crystal structure
Cell lengths 5.199, 8.851, 14.334 Å; angles 90.00, 107.75, 90.00 degrees
Element x y z (fractional)
Li 0.093 0.244 0.310
Li 0.093 0.256 0.810
Li 0.907 0.744 0.190
Li 0.907 0.756 0.690
Bi 0.391 0.147 0.614
Bi 0.391 0.353 0.114
Bi 0.609 0.647 0.886
Bi 0.609 0.853 0.386
P 0.261 0.718 0.040
P 0.261 0.782 0.540
P 0.407 0.540 0.681
P 0.407 0.960 0.181
P 0.593 0.040 0.819
P 0.593 0.460 0.319
P 0.739 0.218 0.460
P 0.739 0.282 0.960
O 0.010 0.181 0.444
O 0.010 0.319 0.944
O 0.242 0.716 0.931
O 0.242 0.784 0.431
O 0.259 0.635 0.740
O 0.259 0.865 0.240
O 0.289 0.062 0.768
O 0.289 0.438 0.268
O 0.304 0.122 0.167
O 0.304 0.378 0.667
O 0.333 0.606 0.571
O 0.333 0.894 0.071
O 0.499 0.622 0.102
O 0.499 0.878 0.602
O 0.501 0.122 0.398
O 0.501 0.378 0.898
O 0.667 0.106 0.929
O 0.667 0.394 0.429
O 0.696 0.622 0.333
O 0.696 0.878 0.833
O 0.711 0.562 0.732
O 0.711 0.938 0.232
O 0.741 0.135 0.760
O 0.741 0.365 0.260
O 0.758 0.216 0.569
O 0.758 0.284 0.069
O 0.990 0.681 0.056
O 0.990 0.819 0.556